(1)
# LiBi2S3O12
Theoretical XRD peak list, Cu Kα (λ = 1.5418 Å). Input: DFT lattice parameters and positions (PBE).

abc: 9.4607 9.4607 21.0530
angles: 90.00 90.00 120.00
Space group R-3c (No. 167, hexagonal axes)
Unique sites:
Li 0.0000 0.0000 0.0000 x6
Bi 0.0000 0.0000 0.1667 x12
S 0.0000 0.3343 0.2500 x18
O 0.0061 0.2489 0.3086 x36
O 0.0160 0.1836 0.5789 x36

Main lines, in order of rising 2θ (15° ≤ 2θ ≤ 90°):
d (Å), I/Imax, (hkl)
4.730, 1000, 1 1 0
4.428, 393, 1 0 4
3.922, 293, 1 1 3
3.818, 180, 2 0 2
2.971, 204, 1 2 2
2.818, 951, 1 1 6
2.731, 598, 3 0 0
2.669, 172, 2 1 4
2.155, 336, 3 0 6
1.961, 426, 2 2 6
1.788, 247, 4 1 0
1.593, 394, 1 4 6



(2)
# K3BS3
Theoretical XRD peak list, Cu Kα (λ = 1.5418 Å). Input: DFT lattice parameters and positions (PBE).

abc: 10.3228 6.2767 12.7539
angles: 90.00 112.12 90.00
Space group P2_1/c (No. 14)
Unique sites:
K 0.0314 0.2270 0.4079 x4
K 0.2653 0.6680 0.8895 x4
K 0.4007 0.0557 0.1498 x4
B 0.2316 0.1289 0.7406 x4
S 0.0782 0.2036 0.1686 x4
S 0.2868 0.5748 0.1615 x4
S 0.3377 0.1720 0.8911 x4

Main lines, in order of rising 2θ (15° ≤ 2θ ≤ 90°):
d (Å), I/Imax, (hkl)
3.185, 812, 3 0 0
2.980, 903, 1 2 0
2.954, 859, 0 0 4
2.841, 1000, 3 1 0
2.814, 367, 1 2 1
2.797, 342, 1 2 -2
2.769, 287, 2 1 -4
2.742, 437, 3 0 -4
2.681, 339, 2 2 -1
2.524, 393, 1 2 -3
2.351, 258, 4 1 -1
2.234, 311, 2 2 2



(3)
# Na6YNb3Si6O24
Theoretical XRD peak list, Cu Kα (λ = 1.5418 Å). Input: DFT lattice parameters and positions (PBE).

abc: 9.1571 9.1642 9.1792
angles: 119.84 90.23 119.76
Space group P1 (No. 1)
Unique sites:
Na 0.0000 0.0000 0.0000 x1
Na 0.0948 0.4936 0.2525 x1
Na 0.3852 0.1325 0.9258 x1
Na 0.5031 0.0072 0.5018 x1
Na 0.6297 0.8969 0.1132 x1
Na 0.8857 0.5016 0.7428 x1
Y 0.6389 0.2964 0.3631 x1
Nb 0.1443 0.2910 0.8522 x1
Nb 0.3622 0.7129 0.6445 x1
Nb 0.8591 0.7193 0.1581 x1
Si 0.0481 0.7989 0.5581 x1
Si 0.2412 0.7862 0.0377 x1
Si 0.4585 0.5128 0.2524 x1
Si 0.5455 0.5083 0.7673 x1
Si 0.7504 0.2070 0.9552 x1
Si 0.9726 0.2108 0.4560 x1
O 0.0350 0.2119 0.6248 x1
O 0.0649 0.7926 0.0517 x1
O 0.1014 0.0120 0.7457 x1
O 0.1374 0.4309 0.4923 x1
O 0.1739 0.5553 0.9775 x1
O 0.2319 0.8047 0.5578 x1
O 0.2669 0.3746 0.0949 x1
O 0.2863 0.7936 0.8632 x1
O 0.3827 0.4003 0.8317 x1
O 0.4133 0.9536 0.2148 x1
O 0.4425 0.6736 0.4329 x1
O 0.4719 0.3455 0.2524 x1
O 0.4944 0.6334 0.7160 x1
O 0.5675 0.0195 0.7794 x1
O 0.5727 0.3456 0.6134 x1
O 0.6360 0.6497 0.2132 x1
O 0.7301 0.6889 0.9428 x1
O 0.7308 0.2001 0.1265 x1
O 0.7853 0.1865 0.4461 x1
O 0.7881 0.4279 0.0035 x1
O 0.8919 0.6045 0.5492 x1
O 0.9183 0.1905 0.9141 x1
O 0.9508 0.0167 0.2721 x1
O 0.9874 0.7785 0.3717 x1

Main lines, in order of rising 2θ (15° ≤ 2θ ≤ 90°):
d (Å), I/Imax, (hkl)
4.590, 1000, 1 1 -1
3.916, 183, 1 -1 2
3.250, 155, 2 0 -2
3.235, 96, 2 -2 2
2.906, 368, 1 -3 1
2.897, 184, 1 -2 3
2.654, 240, 0 1 2
2.646, 239, 3 -1 1
2.056, 130, 3 1 -3
1.960, 127, 2 -4 0
1.738, 95, -1 2 3
1.734, 96, 4 -1 2